No. 1
Calculated XRD peak list of K5P2Au for copper Kα, from a crystal structure in the Materials Project, relaxed with GGA-PBE.

Largest 10 diffraction maxima, sorted by position, 2θ from 10° to 90°:
2theta	I/Imax
17.95	22
18.56	74
22.87	45
26.09	46
31.35	100
32.79	29
33.74	26
37.97	31
50.09	34
58.57	21

Cell and atoms:
abc: 5.706 5.706 18.905
angles: 90.00 90.00 120.00
Sites, in units of the cell vectors:
K1 0.000 0.000 0.144
K2 0.000 0.000 0.356
K3 0.000 0.000 0.644
K4 0.000 0.000 0.856
K5 0.333 0.667 0.048
K6 0.333 0.667 0.250
K7 0.333 0.667 0.452
K8 0.667 0.333 0.548
K9 0.667 0.333 0.750
K10 0.667 0.333 0.952
P1 0.333 0.667 0.622
P2 0.333 0.667 0.878
P3 0.667 0.333 0.122
P4 0.667 0.333 0.378
Au1 0.333 0.667 0.750
Au2 0.667 0.333 0.250

---

No. 2
Calculated XRD peak list of KP2AuS7 for copper Kα, from a crystal structure in the Materials Project, relaxed with GGA-PBE.

Largest 10 diffraction maxima, sorted by position, 2θ from 10° to 90°:
2theta	I/Imax
11.60	24
15.40	100
18.24	25
21.67	20
22.60	40
24.94	18
29.76	30
31.08	25
34.63	14
35.09	21

Cell and atoms:
abc: 6.321 6.321 15.263
angles: 90.08 90.08 100.61
Sites, in units of the cell vectors:
K1 0.243 0.757 0.750
K2 0.757 0.243 0.250
P1 0.321 0.649 0.140
P2 0.351 0.679 0.360
P3 0.649 0.321 0.640
P4 0.679 0.351 0.860
Au1 0.000 0.500 0.500
Au2 0.500 0.000 0.000
S1 0.169 0.770 0.036
S2 0.197 0.803 0.250
S3 0.200 0.364 0.387
S4 0.230 0.831 0.464
S5 0.275 0.336 0.156
S6 0.336 0.275 0.656
S7 0.364 0.200 0.887
S8 0.636 0.800 0.113
S9 0.664 0.725 0.344
S10 0.725 0.664 0.844
S11 0.770 0.169 0.536
S12 0.800 0.636 0.613
S13 0.803 0.197 0.750
S14 0.831 0.230 0.964